Starting from a crystal structure in Alexandria, relaxed with PBE, the X-ray powder pattern of FeMo2 was simulated for Cu Kα X-rays.
Neutral-atom scattering factors, no anomalous dispersion.

Crystal structure
abc: 6.581 6.581 4.340
angles: 90.00 90.00 152.27
Positions (direct):
Fe (0.085, 0.915, 0.750)
Fe (0.915, 0.085, 0.250)
Mo (0.247, 0.753, 0.250)
Mo (0.422, 0.578, 0.750)
Mo (0.578, 0.422, 0.250)
Mo (0.753, 0.247, 0.750)

Top 10 peaks for 10 to 80 degrees two-theta, by intensity:
2θ/deg, d/Å, I (rel.)
41.25, 2.189, 100
41.62, 2.170, 24
42.44, 2.130, 23
75.70, 1.256, 16
60.95, 1.520, 15
76.84, 1.241, 14
58.54, 1.577, 9
74.37, 1.276, 8
74.94, 1.267, 8
24.80, 3.590, 3